# 1
For CsI, a DFT-relaxed cell (PBE, the Materials Project) gives the theoretical X-ray powder pattern in this record (a wavelength of 1.5418 Å).
Intensities are scaled so that the largest is 100.

Peak list (6 most intense, 2θ from 5° to 70°, by intensity)
2θ (°)	I_rel	hkl
27.03	100.0	1 1 0
47.75	41.1	2 1 1
38.60	19.1	2 0 0
63.01	17.9	3 1 0
55.73	13.0	2 2 0
69.84	4.4	2 2 2

Cell: 4.665 4.665 4.665 Å, 90.00 90.00 90.00°
Space group Pm-3m (No. 221)
Unique sites:
Cs: 0.000 0.000 0.000
I: 0.500 0.500 0.500

***

# 2
For YMg14BiO16, a DFT-relaxed cell (PBE, the Materials Project) gives the theoretical X-ray powder pattern in this record (a wavelength of 1.5418 Å).
Intensities are scaled so that the largest is 100.

Peak list (8 most intense, 2θ from 5° to 70°, by intensity)
2θ (°)	I_rel	hkl
40.53	100.0	0 0 2
58.67	59.5	4 0 2
14.06	48.4	1 1 0
19.95	45.4	2 0 0
28.36	39.4	2 2 0
34.91	38.3	2 2 1
24.51	36.4	1 1 1
9.93	25.3	1 0 0

Cell: 8.908 8.908 4.446 Å, 90.00 90.00 90.00°
Space group P4/mmm (No. 123)
Unique sites:
Y: 0.000 0.000 0.000
Mg: 0.000 0.262 0.500
Mg: 0.000 0.500 0.000
Mg: 0.240 0.500 0.500
Mg: 0.253 0.253 0.000
Bi: 0.500 0.500 0.000
O: 0.000 0.000 0.500
O: 0.000 0.254 0.000
O: 0.000 0.500 0.500
O: 0.220 0.500 0.000
O: 0.249 0.249 0.500
O: 0.500 0.500 0.500

***

# 3
For Ca3SbN, a DFT-relaxed cell (PBE, the Materials Project) gives the theoretical X-ray powder pattern in this record (a wavelength of 1.5418 Å).
Intensities are scaled so that the largest is 100.

Peak list (8 most intense, 2θ from 5° to 70°, by intensity)
2θ (°)	I_rel	hkl
31.80	100.0	1 1 1
36.88	61.6	2 0 0
53.15	39.9	2 2 0
25.85	39.8	1 1 0
63.28	38.2	3 1 1
18.20	20.1	1 0 0
45.59	16.8	2 1 1
66.45	12.9	2 2 2

Cell: 4.874 4.874 4.874 Å, 90.00 90.00 90.00°
Space group Pm-3m (No. 221)
Unique sites:
Ca: 0.000 0.000 0.500
Sb: 0.500 0.500 0.500
N: 0.000 0.000 0.000